# Pm3Sm8Dy4
Theoretical powder diffractogram, CuKα. Input: a PBE-relaxed structure.

Principal peaks in the range 10 to 90 degrees two-theta, low angle first:
2θ/deg	d [Å]	I_rel
25.84	3.448	16.5
29.36	3.042	100.0
29.78	3.000	53.3
33.30	2.691	48.3
42.00	2.151	31.4
42.31	2.136	29.1
52.30	1.749	13.4
61.82	1.501	17.4

Structure:
```
Pm3Sm8Dy4
1.0
6.9864 -6.0858 0.0000
6.9864 6.0858 0.0000
-3.3890 0.0000 6.0068
Pm Sm Dy
3 8 4
Direct
0.0000 0.0000 0.0000
0.0000 0.5000 0.0000
0.5000 0.0000 0.0000
0.2038 0.2038 0.7038
0.2041 0.7959 0.5000
0.2523 0.2523 0.2530
0.2521 0.7479 0.0000
0.7479 0.2521 0.0000
0.7477 0.7477 0.7470
0.7959 0.2041 0.5000
0.7962 0.7962 0.2962
0.0000 0.5000 0.5000
0.5000 0.0000 0.5000
0.5000 0.5000 0.0000
0.5000 0.5000 0.5000
```

# Pr7NdY3
Theoretical powder diffractogram, CuKα. Input: a PBE-relaxed structure.

Principal peaks in the range 10 to 90 degrees two-theta, low angle first:
2θ/deg	d [Å]	I_rel
10.06	8.792	13.7
30.05	2.974	100.0
30.50	2.931	29.9
34.97	2.566	64.8
49.99	1.824	22.9
50.59	1.804	22.9
59.43	1.555	14.3
59.70	1.549	26.2

Structure:
```
Pr7NdY3
1.0
7.2980 0.0000 0.0000
-3.6490 6.3202 0.0000
0.0000 0.0000 8.7917
Pr Nd Y
7 1 3
Direct
0.0000 0.0000 0.0000
0.0000 0.5000 0.0185
0.1668 0.3335 0.6675
0.1668 0.8332 0.6675
0.5000 0.0000 0.0185
0.5000 0.5000 0.0185
0.6665 0.8332 0.6675
0.6667 0.3333 0.6857
0.3337 0.1668 0.3434
0.8332 0.1668 0.3434
0.8332 0.6663 0.3434
```

# SiGeRu
Theoretical powder diffractogram, CuKα. Input: a PBE-relaxed structure.

Principal peaks in the range 10 to 90 degrees two-theta, low angle first:
2θ/deg	d [Å]	I_rel
22.16	4.012	17.4
23.87	3.728	38.5
32.00	2.797	79.7
39.20	2.298	49.7
45.25	2.004	100.0
47.12	1.929	53.6
51.38	1.778	20.4
51.55	1.773	20.2

Structure:
```
SiGeRu
1.0
2.7802 -3.1875 0.0000
2.7802 3.1875 0.0000
-2.0565 0.0000 5.1458
Si Ge Ru
2 2 2
Direct
0.0468 0.9532 0.7500
0.9532 0.0468 0.2500
0.4387 0.5613 0.7500
0.5613 0.4387 0.2500
0.0000 0.5000 0.0000
0.5000 0.0000 0.5000
```

# KYTc2O8
Theoretical powder diffractogram, CuKα. Input: a PBE-relaxed structure.

Principal peaks in the range 10 to 90 degrees two-theta, low angle first:
2θ/deg	d [Å]	I_rel
20.72	4.287	100.0
29.07	3.072	36.2
29.86	2.993	45.0
39.47	2.283	11.6
42.16	2.144	21.4
47.94	1.898	19.3
52.51	1.743	13.0
57.29	1.608	14.7

Structure:
```
KYTc2O8
1.0
5.9852 0.0000 0.0000
-2.9926 5.1833 0.0000
0.0000 0.0000 7.6282
K Y Tc O
1 1 2 8
Direct
0.0000 0.0000 0.0000
0.0000 0.0000 0.5000
0.3333 0.6667 0.7644
0.6667 0.3333 0.2356
0.1685 0.3401 0.6844
0.1716 0.8315 0.6844
0.3333 0.6667 0.9931
0.3401 0.1716 0.3156
0.6599 0.8284 0.6844
0.6667 0.3333 0.0069
0.8284 0.1685 0.3156
0.8315 0.6599 0.3156
```

Question: What is the formula in the third record?
Answer: SiGeRu